Entry 1:
This entry pairs a crystal structure of AcTb14Sc with its theoretical powder XRD pattern. Radiation: Cu Kα (weighted mean of Kα1 and Kα2). Structure: the GGA-PBE geometry in Alexandria.

Structure:
Unit cell a=7.1405 b=7.1405 c=10.0677 alpha=90.00 beta=90.00 gamma=90.00
Space group P4/mmm (No. 123)
Asymmetric unit:
Ac  0.0000  0.0000  0.0000 (multiplicity 1)
Tb  0.0000  0.0000  0.5000 (multiplicity 1)
Tb  0.0000  0.5000  0.0000 (multiplicity 2)
Tb  0.0000  0.5000  0.5000 (multiplicity 2)
Tb  0.2544  0.2544  0.2506 (multiplicity 8)
Tb  0.5000  0.5000  0.5000 (multiplicity 1)
Sc  0.5000  0.5000  0.0000 (multiplicity 1)

Principal peaks in the range 2θ from 15° to 90°, by angle:
- hkl 2 0 2, 30.70 deg, 2.912 Å, I = 100.0
- hkl 2 2 0, 35.56 deg, 2.525 Å, I = 33.8
- hkl 0 0 4, 35.67 deg, 2.517 Å, I = 16.8
- hkl 2 2 4, 51.23 deg, 1.783 Å, I = 36.0
- hkl 4 2 2, 60.87 deg, 1.522 Å, I = 28.5
- hkl 2 0 6, 61.02 deg, 1.519 Å, I = 14.2
- hkl 4 0 4, 63.94 deg, 1.456 Å, I = 12.3
- hkl 4 2 6, 83.59 deg, 1.157 Å, I = 11.8

Entry 2:
This entry pairs a crystal structure of CeTh3Au7 with its theoretical powder XRD pattern. Radiation: Cu Kα (weighted mean of Kα1 and Kα2). Structure: the GGA-PBE geometry in Alexandria.

Structure:
Unit cell a=3.8992 b=22.7433 c=12.5617 alpha=90.00 beta=90.00 gamma=90.00
Space group Cmcm (No. 63)
Asymmetric unit:
Ce  0.0000  0.0104  0.2500 (multiplicity 4)
Th  0.0000  0.1436  0.5663 (multiplicity 8)
Th  0.0000  0.1979  0.2500 (multiplicity 4)
Au  0.0000  0.2768  0.5695 (multiplicity 8)
Au  0.0000  0.3801  0.2500 (multiplicity 4)
Au  0.0000  0.3991  0.6341 (multiplicity 8)
Au  0.0000  0.4614  0.0777 (multiplicity 8)

Principal peaks in the range 2θ from 15° to 90°, by angle:
- hkl 1 1 3, 31.60 deg, 2.831 Å, I = 100.0
- hkl 1 5 2, 33.47 deg, 2.678 Å, I = 57.2
- hkl 0 2 5, 36.67 deg, 2.451 Å, I = 34.1
- hkl 1 5 3, 37.19 deg, 2.417 Å, I = 26.6
- hkl 0 8 3, 38.27 deg, 2.352 Å, I = 42.0
- hkl 1 7 2, 38.82 deg, 2.320 Å, I = 23.2
- hkl 0 0 6, 43.21 deg, 2.094 Å, I = 37.7
- hkl 2 0 0, 46.58 deg, 1.950 Å, I = 34.4

Entry 3:
This entry pairs a crystal structure of Mg7Ga4 with its theoretical powder XRD pattern. Radiation: Cu Kα (weighted mean of Kα1 and Kα2). Structure: the GGA-PBE geometry in Alexandria.

Structure:
Unit cell a=9.0241 b=9.0241 c=3.2037 alpha=90.00 beta=90.00 gamma=120.00
Space group P-6m2 (No. 187)
Asymmetric unit:
Mg  0.0000  0.0000  0.0000 (multiplicity 1)
Mg  0.0670  0.5335  0.0000 (multiplicity 3)
Mg  0.3750  0.1875  0.5000 (multiplicity 3)
Ga  0.1648  0.3295  0.5000 (multiplicity 3)
Ga  0.6667  0.3333  0.0000 (multiplicity 1)

Principal peaks in the range 2θ from 15° to 90°, by angle:
- hkl 2 0 0, 22.76 deg, 3.908 Å, I = 100.0
- hkl 1 0 1, 30.15 deg, 2.964 Å, I = 26.4
- hkl 1 1 1, 34.35 deg, 2.611 Å, I = 59.9
- hkl 2 0 1, 36.26 deg, 2.477 Å, I = 60.2
- hkl 2 2 0, 39.96 deg, 2.256 Å, I = 92.1
- hkl 2 1 1, 41.59 deg, 2.172 Å, I = 64.4
- hkl 3 0 1, 44.84 deg, 2.021 Å, I = 20.9
- hkl 2 2 2, 72.35 deg, 1.306 Å, I = 29.8

Entry 4:
This entry pairs a crystal structure of ZrCo4Pd with its theoretical powder XRD pattern. Radiation: Cu Kα (weighted mean of Kα1 and Kα2). Structure: the GGA-PBE geometry in Alexandria.

Structure:
Unit cell a=6.8310 b=6.8310 c=6.8310 alpha=90.00 beta=90.00 gamma=90.00
Space group F-43m (No. 216)
Asymmetric unit:
Zr  0.0000  0.0000  0.0000 (multiplicity 4)
Co  0.1241  0.1241  0.6241 (multiplicity 16)
Pd  0.2500  0.2500  0.2500 (multiplicity 4)

Principal peaks in the range 2θ from 15° to 90°, by angle:
- hkl 1 1 1, 22.54 deg, 3.944 Å, I = 1.3
- hkl 2 2 0, 37.23 deg, 2.415 Å, I = 46.2
- hkl 3 1 1, 43.96 deg, 2.060 Å, I = 100.0
- hkl 2 2 2, 46.03 deg, 1.972 Å, I = 25.0
- hkl 4 2 2, 67.13 deg, 1.394 Å, I = 15.7
- hkl 3 3 3, 71.81 deg, 1.315 Å, I = 28.6
- hkl 4 4 0, 79.35 deg, 1.208 Å, I = 22.6